Simulated X-ray diffraction stick pattern of Cs2NbHgS4 for a wavelength of 1.5418 Å, from a GGA-PBE-relaxed structure.
Peak positions follow from Bragg's law for the DFT cell and can differ from measured ones.

Atomic structure:
```
data_Cs2NbHgS4
_space_group_name_H-M_alt 'F d d d'
_space_group_IT_number 70
_cell_length_a 6.8072
_cell_length_b 14.1462
_cell_length_c 24.4464
_cell_angle_alpha 90.00
_cell_angle_beta 90.00
_cell_angle_gamma 90.00
loop_
_space_group_symop_operation_xyz
'x,y,z'
'-x,-y,-z'
'-x+1/4,-y+1/4,z'
'x+1/4,y+1/4,-z'
'x,-y+1/4,-z+1/4'
'-x,y+1/4,z+1/4'
'-x+1/4,y,-z+1/4'
'x+1/4,-y,z+1/4'
'x,y+1/2,z+1/2'
'-x,-y+1/2,-z+1/2'
'-x+1/4,-y+3/4,z+1/2'
'x+1/4,y+3/4,-z+1/2'
'x,-y+3/4,-z+3/4'
'-x,y+3/4,z+3/4'
'-x+1/4,y+1/2,-z+3/4'
'x+1/4,-y+1/2,z+3/4'
'x+1/2,y,z+1/2'
'-x+1/2,-y,-z+1/2'
'-x+3/4,-y+1/4,z+1/2'
'x+3/4,y+1/4,-z+1/2'
'x+1/2,-y+1/4,-z+3/4'
'-x+1/2,y+1/4,z+3/4'
'-x+3/4,y,-z+3/4'
'x+3/4,-y,z+3/4'
'x+1/2,y+1/2,z'
'-x+1/2,-y+1/2,-z'
'-x+3/4,-y+3/4,z'
'x+3/4,y+3/4,-z'
'x+1/2,-y+3/4,-z+1/4'
'-x+1/2,y+3/4,z+1/4'
'-x+3/4,y+1/2,-z+1/4'
'x+3/4,-y+1/2,z+1/4'
loop_
_atom_site_label
_atom_site_type_symbol
_atom_site_fract_x
_atom_site_fract_y
_atom_site_fract_z
Cs1 Cs 0.1250 0.1250 0.3026
Nb1 Nb 0.1250 0.1250 0.6250
Hg1 Hg 0.1250 0.1250 0.1250
S1 S 0.0810 0.2815 0.8226
```

The 10 most intense peaks (5° ≤ 2θ ≤ 70°), most intense first:
- (0 2 6), 25.21°, 3.532 Å, rel. 100.0
- (0 0 4), 14.48°, 6.117 Å, rel. 66.5
- (2 2 0), 29.12°, 3.066 Å, rel. 57.4
- (2 0 6), 34.33°, 2.612 Å, rel. 40.9
- (1 3 5), 29.41°, 3.037 Å, rel. 40.5
- (1 3 1), 23.25°, 3.826 Å, rel. 40.4
- (2 4 6), 43.05°, 2.101 Å, rel. 33.0
- (0 6 6), 44.42°, 2.039 Å, rel. 31.3
- (2 2 12), 54.03°, 1.697 Å, rel. 25.3
- (1 1 1), 14.89°, 5.950 Å, rel. 22.2